Rb3Hg4Pd: theoretical powder XRD pattern (Cu Kα X-rays), based on the GGA-PBE geometry in Alexandria.

Main lines, sorted by position (5 to 70 degrees two-theta):
- (2 0 0), 21.69°, intensity 154
- (2 2 0), 30.86°, intensity 1000
- (4 0 0), 44.20°, intensity 188
- (4 2 0), 49.75°, intensity 77
- (4 2 2), 54.87°, intensity 398
- (4 4 0), 64.29°, intensity 124

```
data_Rb3Hg4Pd
_space_group_name_H-M_alt 'I m -3 m'
_space_group_IT_number 229
_space_group_name_Hall '-I 4 2 3'
_cell_length_a 8.196
_cell_length_b 8.196
_cell_length_c 8.196
_cell_angle_alpha 90.00
_cell_angle_beta 90.00
_cell_angle_gamma 90.00
loop_
_atom_site_label
_atom_site_type_symbol
_atom_site_fract_x
_atom_site_fract_y
_atom_site_fract_z
Rb1 Rb 0.000 0.000 0.500
Hg1 Hg 0.250 0.250 0.250
Pd1 Pd 0.000 0.000 0.000
```

Rb4Hg5Pd: theoretical powder XRD pattern (Cu Kα X-rays), based on the GGA-PBE geometry in Alexandria.

Main lines, sorted by position (5 to 70 degrees two-theta):
- (1 1 0), 10.74°, intensity 597
- (3 0 1), 27.88°, intensity 1000
- (3 2 1), 31.91°, intensity 198
- (3 3 0), 32.61°, intensity 463
- (3 1 2), 40.25°, intensity 174
- (6 3 1), 55.34°, intensity 204

```
data_Rb4Hg5Pd
_space_group_name_H-M_alt 'I 4 m m'
_space_group_IT_number 107
_space_group_name_Hall 'I 4 -2'
_cell_length_a 11.651
_cell_length_b 11.651
_cell_length_c 5.646
_cell_angle_alpha 90.00
_cell_angle_beta 90.00
_cell_angle_gamma 90.00
loop_
_atom_site_label
_atom_site_type_symbol
_atom_site_fract_x
_atom_site_fract_y
_atom_site_fract_z
Rb1 Rb 0.000 0.286 0.000
Hg1 Hg 0.000 0.000 0.820
Hg2 Hg 0.168 0.168 0.486
Pd1 Pd 0.000 0.000 0.319
```

Rb6Hg12Pd: theoretical powder XRD pattern (Cu Kα X-rays), based on the GGA-PBE geometry in Alexandria.

Main lines, sorted by position (5 to 70 degrees two-theta):
- (0 1 2), 15.73°, intensity 1000
- (1 1 3), 24.52°, intensity 755
- (2 2 0), 25.20°, intensity 396
- (2 2 3), 33.02°, intensity 903
- (4 1 0), 33.54°, intensity 930
- (2 1 7), 54.34°, intensity 392

```
data_Rb6Hg12Pd
_space_group_name_H-M_alt 'R -3'
_space_group_IT_number 148
_space_group_name_Hall '-R 3'
_cell_length_a 14.1386
_cell_length_b 14.1386
_cell_length_c 12.6942
_cell_angle_alpha 90.00
_cell_angle_beta 90.00
_cell_angle_gamma 120.00
loop_
_atom_site_label
_atom_site_type_symbol
_atom_site_fract_x
_atom_site_fract_y
_atom_site_fract_z
Rb1 Rb 0.0075 0.8209 0.2509
Hg1 Hg 0.0220 0.2180 0.0387
Hg2 Hg 0.0320 0.8146 0.5434
Pd1 Pd 0.0000 0.0000 0.5000
```

Rb4Hg6Pd: theoretical powder XRD pattern (Cu Kα X-rays), based on the GGA-PBE geometry in Alexandria.

Main lines, sorted by position (5 to 70 degrees two-theta):
- (2 1 1), 22.79°, intensity 420
- (2 1 2), 28.50°, intensity 1000
- (3 1 0), 29.24°, intensity 674
- (1 0 3), 30.90°, intensity 884
- (4 2 0), 41.83°, intensity 345
- (4 1 3), 49.15°, intensity 301

```
data_Rb4Hg6Pd
_space_group_name_H-M_alt 'P 4/m n c'
_space_group_IT_number 128
_space_group_name_Hall '-P 4 2n'
_cell_length_a 9.658
_cell_length_b 9.658
_cell_length_c 9.094
_cell_angle_alpha 90.00
_cell_angle_beta 90.00
_cell_angle_gamma 90.00
loop_
_atom_site_label
_atom_site_type_symbol
_atom_site_fract_x
_atom_site_fract_y
_atom_site_fract_z
Rb1 Rb 0.150 0.350 0.250
Hg1 Hg 0.000 0.000 0.178
Hg2 Hg 0.110 0.723 0.500
Pd1 Pd 0.000 0.000 0.500
```

Rb2Hg6Pd: theoretical powder XRD pattern (Cu Kα X-rays), based on the GGA-PBE geometry in Alexandria.

Main lines, sorted by position (5 to 70 degrees two-theta):
- (2 0 0), 17.14°, intensity 227
- (2 2 2), 29.92°, intensity 1000
- (4 0 0), 34.69°, intensity 696
- (3 3 1), 37.91°, intensity 150
- (4 4 0), 49.87°, intensity 462
- (6 2 2), 59.25°, intensity 368

```
data_Rb2Hg6Pd
_space_group_name_H-M_alt 'F m -3 m'
_space_group_IT_number 225
_space_group_name_Hall '-F 4 2 3'
_cell_length_a 10.345
_cell_length_b 10.345
_cell_length_c 10.345
_cell_angle_alpha 90.00
_cell_angle_beta 90.00
_cell_angle_gamma 90.00
loop_
_atom_site_label
_atom_site_type_symbol
_atom_site_fract_x
_atom_site_fract_y
_atom_site_fract_z
Rb1 Rb 0.250 0.250 0.250
Hg1 Hg 0.000 0.000 0.228
Pd1 Pd 0.000 0.000 0.500
```

RbHgPd4S2: theoretical powder XRD pattern (Cu Kα X-rays), based on the GGA-PBE geometry in Alexandria.

Main lines, sorted by position (5 to 70 degrees two-theta):
- (0 0 1), 9.41°, intensity 1000
- (1 0 0), 20.18°, intensity 243
- (1 0 2), 27.78°, intensity 615
- (1 1 2), 34.57°, intensity 793
- (1 1 3), 40.88°, intensity 499
- (2 0 0), 41.02°, intensity 532

```
data_RbHgPd4S2
_space_group_name_H-M_alt 'P 4/m m m'
_space_group_IT_number 123
_space_group_name_Hall '-P 4 2'
_cell_length_a 4.400
_cell_length_b 4.400
_cell_length_c 9.398
_cell_angle_alpha 90.00
_cell_angle_beta 90.00
_cell_angle_gamma 90.00
loop_
_atom_site_label
_atom_site_type_symbol
_atom_site_fract_x
_atom_site_fract_y
_atom_site_fract_z
Rb1 Rb 0.000 0.000 0.000
Hg1 Hg 0.000 0.000 0.500
Pd1 Pd 0.000 0.500 0.311
S1 S 0.500 0.500 0.231
```

RbTlHgPd: theoretical powder XRD pattern (Cu Kα X-rays), based on the GGA-PBE geometry in Alexandria.

Main lines, sorted by position (5 to 70 degrees two-theta):
- (0 0 3), 13.49°, intensity 1000
- (1 0 4), 28.08°, intensity 635
- (0 1 5), 31.28°, intensity 718
- (1 1 0), 37.44°, intensity 885
- (1 1 3), 39.97°, intensity 437
- (0 1 8), 42.68°, intensity 293

```
data_RbTlHgPd
_space_group_name_H-M_alt 'R 3 m'
_space_group_IT_number 160
_space_group_name_Hall 'R 3 -2"'
_cell_length_a 4.8035
_cell_length_b 4.8035
_cell_length_c 19.6921
_cell_angle_alpha 90.00
_cell_angle_beta 90.00
_cell_angle_gamma 120.00
loop_
_atom_site_label
_atom_site_type_symbol
_atom_site_fract_x
_atom_site_fract_y
_atom_site_fract_z
Rb1 Rb 0.0000 0.0000 0.0000
Tl1 Tl 0.0000 0.0000 0.1975
Hg1 Hg 0.0000 0.0000 0.4546
Pd1 Pd 0.0000 0.0000 0.8119
```

HgPd14Rh: theoretical powder XRD pattern (Cu Kα X-rays), based on the GGA-PBE geometry in Alexandria.

Main lines, sorted by position (5 to 70 degrees two-theta):
- (1 2 2), 38.33°, intensity 472
- (1 0 4), 38.53°, intensity 249
- (4 0 0), 39.11°, intensity 549
- (2 2 2), 42.06°, intensity 1000
- (2 0 4), 42.25°, intensity 457
- (3 2 2), 47.74°, intensity 250

```
data_HgPd14Rh
_space_group_name_H-M_alt 'A m m 2'
_space_group_IT_number 38
_cell_length_a 9.212
_cell_length_b 5.619
_cell_length_c 9.662
_cell_angle_alpha 90.00
_cell_angle_beta 90.00
_cell_angle_gamma 90.00
loop_
_space_group_symop_operation_xyz
'x,y,z'
'-x,-y,z'
'-x,y,z'
'x,-y,z'
'x,y+1/2,z+1/2'
'-x,-y+1/2,z+1/2'
'-x,y+1/2,z+1/2'
'x,-y+1/2,z+1/2'
loop_
_atom_site_label
_atom_site_type_symbol
_atom_site_fract_x
_atom_site_fract_y
_atom_site_fract_z
Hg1 Hg 0.000 0.000 0.000
Pd1 Pd 0.000 0.249 0.750
Pd2 Pd 0.248 0.000 0.333
Pd3 Pd 0.251 0.247 0.582
Pd4 Pd 0.254 0.000 0.831
Pd5 Pd 0.500 0.000 0.164
Pd6 Pd 0.500 0.000 0.663
Pd7 Pd 0.500 0.250 0.413
Rh1 Rh 0.000 0.000 0.499
```

Hg2Pd8Rh: theoretical powder XRD pattern (Cu Kα X-rays), based on the GGA-PBE geometry in Alexandria.

Main lines, sorted by position (5 to 70 degrees two-theta):
- (0 4 1), 38.79°, intensity 1000
- (3 1 1), 40.19°, intensity 869
- (3 3 0), 40.92°, intensity 345
- (0 0 2), 43.27°, intensity 383
- (3 5 0), 52.91°, intensity 224
- (3 3 2), 61.07°, intensity 210

```
data_Hg2Pd8Rh
_space_group_name_H-M_alt 'C m m m'
_space_group_IT_number 65
_space_group_name_Hall '-C 2 2'
_cell_length_a 8.213
_cell_length_b 11.166
_cell_length_c 4.182
_cell_angle_alpha 90.00
_cell_angle_beta 90.00
_cell_angle_gamma 90.00
loop_
_atom_site_label
_atom_site_type_symbol
_atom_site_fract_x
_atom_site_fract_y
_atom_site_fract_z
Hg1 Hg 0.000 0.127 0.000
Pd1 Pd 0.000 0.271 0.500
Pd2 Pd 0.167 0.373 0.000
Pd3 Pd 0.173 0.000 0.500
Rh1 Rh 0.000 0.500 0.500
```

Tb4HgPd2Ru: theoretical powder XRD pattern (Cu Kα X-rays), based on the GGA-PBE geometry in Alexandria.

Main lines, sorted by position (5 to 70 degrees two-theta):
- (0 1 5), 27.34°, intensity 27
- (1 0 7), 32.72°, intensity 30
- (1 1 0), 35.72°, intensity 1000
- (2 0 8), 51.40°, intensity 171
- (3 0 0), 64.17°, intensity 339
- (1 1 15), 68.21°, intensity 22

```
data_Tb4HgPd2Ru
_space_group_name_H-M_alt 'R -3 m'
_space_group_IT_number 166
_space_group_name_Hall '-R 3 2"'
_cell_length_a 5.0276
_cell_length_b 5.0276
_cell_length_c 24.6349
_cell_angle_alpha 90.00
_cell_angle_beta 90.00
_cell_angle_gamma 120.00
loop_
_atom_site_label
_atom_site_type_symbol
_atom_site_fract_x
_atom_site_fract_y
_atom_site_fract_z
Tb1 Tb 0.0000 0.0000 0.1168
Tb2 Tb 0.0000 0.0000 0.3691
Hg1 Hg 0.0000 0.0000 0.5000
Pd1 Pd 0.0000 0.0000 0.2496
Ru1 Ru 0.0000 0.0000 0.0000
```

Hg2TePdRu: theoretical powder XRD pattern (Cu Kα X-rays), based on the GGA-PBE geometry in Alexandria.

Main lines, sorted by position (5 to 70 degrees two-theta):
- (1 1 1), 30.54°, intensity 1000
- (2 0 0), 34.40°, intensity 709
- (0 0 2), 37.36°, intensity 283
- (2 2 0), 49.44°, intensity 255
- (2 0 2), 51.69°, intensity 447
- (3 1 1), 59.24°, intensity 312

```
data_Hg2TePdRu
_space_group_name_H-M_alt 'P 4/m m m'
_space_group_IT_number 123
_space_group_name_Hall '-P 4 2'
_cell_length_a 5.214
_cell_length_b 5.214
_cell_length_c 4.814
_cell_angle_alpha 90.00
_cell_angle_beta 90.00
_cell_angle_gamma 90.00
loop_
_atom_site_label
_atom_site_type_symbol
_atom_site_fract_x
_atom_site_fract_y
_atom_site_fract_z
Hg1 Hg 0.000 0.500 0.000
Te1 Te 0.000 0.000 0.500
Pd1 Pd 0.500 0.500 0.500
Ru1 Ru 0.500 0.500 0.000
```

Hg4Pd8S: theoretical powder XRD pattern (Cu Kα X-rays), based on the GGA-PBE geometry in Alexandria.

Main lines, sorted by position (5 to 70 degrees two-theta):
- (0 0 1), 6.19°, intensity 238
- (1 1 3), 36.81°, intensity 1000
- (1 1 4), 40.56°, intensity 354
- (0 2 0), 43.97°, intensity 229
- (0 0 7), 44.45°, intensity 185
- (2 0 0), 46.15°, intensity 198

```
data_Hg4Pd8S
_space_group_name_H-M_alt 'P m m 2'
_space_group_IT_number 25
_cell_length_a 3.934
_cell_length_b 4.118
_cell_length_c 14.271
_cell_angle_alpha 90.00
_cell_angle_beta 90.00
_cell_angle_gamma 90.00
loop_
_space_group_symop_operation_xyz
'x,y,z'
'-x,-y,z'
'-x,y,z'
'x,-y,z'
loop_
_atom_site_label
_atom_site_type_symbol
_atom_site_fract_x
_atom_site_fract_y
_atom_site_fract_z
Hg1 Hg 0.000 0.000 0.000
Hg2 Hg 0.000 0.500 0.158
Hg3 Hg 0.500 0.000 0.441
Hg4 Hg 0.500 0.500 0.604
Pd1 Pd 0.000 0.000 0.301
Pd2 Pd 0.000 0.000 0.595
Pd3 Pd 0.000 0.500 0.445
Pd4 Pd 0.000 0.500 0.844
Pd5 Pd 0.500 0.000 0.154
Pd6 Pd 0.500 0.000 0.855
Pd7 Pd 0.500 0.500 0.005
Pd8 Pd 0.500 0.500 0.298
S1 S 0.000 0.000 0.760
```